Record 1
Starting from a GGA-PBE-relaxed structure, the powder diffractogram of Si5Te4 was calculated for λ = 1.5418 Å (Cu Kα).
Peak positions follow from Bragg's law for the DFT cell and can differ from measured ones.

Structural model:
```
Si5Te4
1.0
-5.5384 5.5384 1.7838
5.5384 -5.5384 1.7838
5.5384 5.5384 -1.7838
Si Te
5 4
Direct
0.0000 0.0000 0.0000 Si
0.3084 0.3084 0.6169 Si
0.3084 0.6916 0.0000 Si
0.6916 0.3084 0.0000 Si
0.6916 0.6916 0.3831 Si
0.0000 0.2586 0.2586 Te
0.0000 0.7414 0.7414 Te
0.2586 0.0000 0.2586 Te
0.7414 0.0000 0.7414 Te
```

The 8 most intense peaks (2θ = 10–90°), low angle first:
2θ 22.71, d = 3.916 Å, I = 100
2θ 26.24, d = 3.396 Å, I = 44
2θ 30.89, d = 2.895 Å, I = 46
2θ 32.33, d = 2.769 Å, I = 73
2θ 34.97, d = 2.566 Å, I = 73
2θ 38.68, d = 2.328 Å, I = 40
2θ 48.36, d = 1.882 Å, I = 36
2θ 52.23, d = 1.751 Å, I = 33

---

Record 2
Starting from a GGA-PBE-relaxed structure, the powder diffractogram of Cs3AuF7 was calculated for λ = 1.5418 Å (Cu Kα).
Peak positions follow from Bragg's law for the DFT cell and can differ from measured ones.

Structural model:
```
Cs3AuF7
1.0
8.5861 0.0000 0.0000
0.0000 8.5861 0.0000
0.0000 0.0000 6.6328
Cs Au F
6 2 14
Direct
0.0000 0.0000 0.0000 Cs
0.1879 0.3121 0.5000 Cs
0.3121 0.8121 0.5000 Cs
0.5000 0.5000 0.0000 Cs
0.6879 0.1879 0.5000 Cs
0.8121 0.6879 0.5000 Cs
0.0000 0.5000 0.0000 Au
0.5000 0.0000 0.0000 Au
0.0000 0.0000 0.5000 F
0.1186 0.6186 0.2293 F
0.1186 0.6186 0.7707 F
0.1607 0.3393 0.0000 F
0.3393 0.8393 0.0000 F
0.3814 0.1186 0.2293 F
0.3814 0.1186 0.7707 F
0.5000 0.5000 0.5000 F
0.6186 0.8814 0.2293 F
0.6186 0.8814 0.7707 F
0.6607 0.1607 0.0000 F
0.8393 0.6607 0.0000 F
0.8814 0.3814 0.2293 F
0.8814 0.3814 0.7707 F
```

The 8 most intense peaks (2θ = 10–90°), low angle first:
2θ 14.59, d = 6.071 Å, I = 14
2θ 24.70, d = 3.604 Å, I = 100
2θ 26.86, d = 3.319 Å, I = 45
2θ 29.42, d = 3.036 Å, I = 34
2θ 35.76, d = 2.511 Å, I = 29
2θ 40.27, d = 2.239 Å, I = 30
2θ 46.18, d = 1.966 Å, I = 19
2θ 49.42, d = 1.844 Å, I = 14

---

Record 3
Starting from a GGA-PBE-relaxed structure, the powder diffractogram of Mg5SiH2N4 was calculated for λ = 1.5418 Å (Cu Kα).
Peak positions follow from Bragg's law for the DFT cell and can differ from measured ones.

Structural model:
```
Mg5SiH2N4
1.0
6.2703 0.0000 0.0000
0.0000 4.3825 2.5513
0.0000 -4.3825 2.5513
Mg Si H N
5 1 2 4
Direct
0.0000 0.0000 0.0000 Mg
0.2895 0.3031 0.6553 Mg
0.2895 0.6553 0.3031 Mg
0.7105 0.3031 0.6553 Mg
0.7105 0.6553 0.3031 Mg
0.5000 0.0022 0.0022 Si
0.0000 0.5387 0.8817 H
0.0000 0.8817 0.5387 H
0.2697 0.2077 0.2077 N
0.5000 0.6362 0.9610 N
0.5000 0.9610 0.6362 N
0.7303 0.2077 0.2077 N
```

The 8 most intense peaks (2θ = 10–90°), low angle first:
2θ 14.12, d = 6.270 Å, I = 59
2θ 20.14, d = 4.410 Å, I = 12
2θ 35.14, d = 2.554 Å, I = 100
2θ 35.40, d = 2.535 Å, I = 80
2θ 50.61, d = 1.804 Å, I = 40
2θ 63.08, d = 1.474 Å, I = 10
2θ 63.29, d = 1.469 Å, I = 26
2θ 63.47, d = 1.466 Å, I = 16

---

Please write out number 2 again, unchanged.
Starting from a GGA-PBE-relaxed structure, the powder diffractogram of Cs3AuF7 was calculated for λ = 1.5418 Å (Cu Kα).
Peak positions follow from Bragg's law for the DFT cell and can differ from measured ones.

Structural model:
```
Cs3AuF7
1.0
8.5861 0.0000 0.0000
0.0000 8.5861 0.0000
0.0000 0.0000 6.6328
Cs Au F
6 2 14
Direct
0.0000 0.0000 0.0000 Cs
0.1879 0.3121 0.5000 Cs
0.3121 0.8121 0.5000 Cs
0.5000 0.5000 0.0000 Cs
0.6879 0.1879 0.5000 Cs
0.8121 0.6879 0.5000 Cs
0.0000 0.5000 0.0000 Au
0.5000 0.0000 0.0000 Au
0.0000 0.0000 0.5000 F
0.1186 0.6186 0.2293 F
0.1186 0.6186 0.7707 F
0.1607 0.3393 0.0000 F
0.3393 0.8393 0.0000 F
0.3814 0.1186 0.2293 F
0.3814 0.1186 0.7707 F
0.5000 0.5000 0.5000 F
0.6186 0.8814 0.2293 F
0.6186 0.8814 0.7707 F
0.6607 0.1607 0.0000 F
0.8393 0.6607 0.0000 F
0.8814 0.3814 0.2293 F
0.8814 0.3814 0.7707 F
```

The 8 most intense peaks (2θ = 10–90°), low angle first:
2θ 14.59, d = 6.071 Å, I = 14
2θ 24.70, d = 3.604 Å, I = 100
2θ 26.86, d = 3.319 Å, I = 45
2θ 29.42, d = 3.036 Å, I = 34
2θ 35.76, d = 2.511 Å, I = 29
2θ 40.27, d = 2.239 Å, I = 30
2θ 46.18, d = 1.966 Å, I = 19
2θ 49.42, d = 1.844 Å, I = 14